1.
# MgCrW2O8
Calculated powder diffraction line list, Cu Kα X-rays. Input: a structure optimized by DFT (PBE+U).
Intensities are scaled so that the largest is 100.

Peak list (10 most intense, 10 to 90 degrees two-theta, sorted by position)
13.95 deg, I 100; 18.12 deg, I 66; 18.58 deg, I 26; 22.55 deg, I 31; 23.31 deg, I 22; 23.97 deg, I 67; 29.08 deg, I 80; 38.33 deg, I 39; 40.21 deg, I 23; 46.46 deg, I 27

Structure:
```
data_MgCrW2O8
_cell_length_a 4.9747
_cell_length_b 5.4237
_cell_length_c 6.7851
_cell_angle_alpha 69.58
_cell_angle_beta 87.97
_cell_angle_gamma 74.69
_symmetry_space_group_name_H-M 'P 1'
_symmetry_Int_Tables_number 1
loop_
_symmetry_equiv_pos_as_xyz
'x,y,z'
loop_
_atom_site_label
_atom_site_type_symbol
_atom_site_fract_x
_atom_site_fract_y
_atom_site_fract_z
Mg1 Mg 0.0000 0.0000 0.0000
Cr1 Cr 0.5240 0.0073 0.6454
W1 W 0.2645 0.4972 0.8027
W2 W 0.7830 0.5183 0.4788
O1 O 0.1631 0.3115 0.6010
O2 O 0.1909 0.2547 0.0441
O3 O 0.3263 0.7944 0.8826
O4 O 0.4245 0.7447 0.5142
O5 O 0.6602 0.2377 0.7904
O6 O 0.6763 0.2663 0.4010
O7 O 0.8645 0.7414 0.2333
O8 O 0.8769 0.7157 0.6822
```

=====

2.
# LiTiFeO4
Calculated powder diffraction line list, Cu Kα X-rays. Input: a structure optimized by DFT (PBE+U).
Intensities are scaled so that the largest is 100.

Peak list (10 most intense, 10 to 90 degrees two-theta, sorted by position)
18.15 deg, I 100; 35.09 deg, I 24; 35.27 deg, I 12; 36.77 deg, I 11; 42.61 deg, I 43; 42.93 deg, I 21; 56.35 deg, I 10; 61.84 deg, I 11; 62.08 deg, I 11; 65.03 deg, I 6

Structure:
```
data_LiTiFeO4
_cell_length_a 8.4276
_cell_length_b 8.4885
_cell_length_c 5.9680
_cell_angle_alpha 90.00
_cell_angle_beta 134.70
_cell_angle_gamma 90.00
_symmetry_space_group_name_H-M 'C 1 2/c 1'
_symmetry_Int_Tables_number 15
loop_
_symmetry_equiv_pos_as_xyz
'x,y,z'
'-x,-y,-z'
'-x,y,-z+1/2'
'x,-y,z+1/2'
'x+1/2,y+1/2,z'
'-x+1/2,-y+1/2,-z'
'-x+1/2,y+1/2,-z+1/2'
'x+1/2,-y+1/2,z+1/2'
loop_
_atom_site_label
_atom_site_type_symbol
_atom_site_fract_x
_atom_site_fract_y
_atom_site_fract_z
Li1 Li 0.2500 0.2500 0.0000
Ti1 Ti 0.0000 0.0000 0.0000
Fe1 Fe 0.2500 0.2500 0.5000
O1 O 0.0011 0.2319 0.0173
O2 O 0.2173 0.0054 0.4658
```

=====

3.
# HoCrO3
Calculated powder diffraction line list, Cu Kα X-rays. Input: a structure optimized by DFT (PBE+U).
Intensities are scaled so that the largest is 100.

Peak list (10 most intense, 10 to 90 degrees two-theta, sorted by position)
23.13 deg, I 24; 23.28 deg, I 17; 25.94 deg, I 24; 31.98 deg, I 18; 33.05 deg, I 100; 33.89 deg, I 24; 34.12 deg, I 15; 47.29 deg, I 16; 53.43 deg, I 20; 60.11 deg, I 21

Structure:
```
data_HoCrO3
_cell_length_a 5.5975
_cell_length_b 7.6430
_cell_length_c 5.2897
_cell_angle_alpha 90.00
_cell_angle_beta 90.00
_cell_angle_gamma 90.00
_symmetry_space_group_name_H-M 'P n m a'
_symmetry_Int_Tables_number 62
loop_
_symmetry_equiv_pos_as_xyz
'x,y,z'
'-x,-y,-z'
'-x+1/2,-y,z+1/2'
'x+1/2,y,-z+1/2'
'x+1/2,-y+1/2,-z+1/2'
'-x+1/2,y+1/2,z+1/2'
'-x,y+1/2,-z'
'x,-y+1/2,z'
loop_
_atom_site_label
_atom_site_type_symbol
_atom_site_fract_x
_atom_site_fract_y
_atom_site_fract_z
Ho1 Ho 0.0685 0.2500 0.0194
Cr1 Cr 0.0000 0.0000 0.5000
O1 O 0.0424 0.7500 0.3848
O2 O 0.1954 0.5589 0.8092
```

=====

4.
# LiMn4O8
Calculated powder diffraction line list, Cu Kα X-rays. Input: a structure optimized by DFT (PBE+U).
Intensities are scaled so that the largest is 100.

Peak list (10 most intense, 10 to 90 degrees two-theta, sorted by position)
17.87 deg, I 100; 35.17 deg, I 11; 35.90 deg, I 19; 42.50 deg, I 17; 43.16 deg, I 32; 47.03 deg, I 5; 56.46 deg, I 10; 61.80 deg, I 8; 62.55 deg, I 9; 65.63 deg, I 9

Structure:
```
data_LiMn4O8
_cell_length_a 10.3586
_cell_length_b 5.8222
_cell_length_c 6.0428
_cell_angle_alpha 90.00
_cell_angle_beta 124.78
_cell_angle_gamma 90.00
_symmetry_space_group_name_H-M 'C 1 2/m 1'
_symmetry_Int_Tables_number 12
loop_
_symmetry_equiv_pos_as_xyz
'x,y,z'
'-x,-y,-z'
'-x,y,-z'
'x,-y,z'
'x+1/2,y+1/2,z'
'-x+1/2,-y+1/2,-z'
'-x+1/2,y+1/2,-z'
'x+1/2,-y+1/2,z'
loop_
_atom_site_label
_atom_site_type_symbol
_atom_site_fract_x
_atom_site_fract_y
_atom_site_fract_z
Li1 Li 0.0000 0.0000 0.0000
Mn1 Mn 0.0000 0.0000 0.5000
Mn2 Mn 0.0000 0.5000 0.5000
Mn3 Mn 0.2500 0.2500 0.5000
O1 O 0.0227 0.2467 0.3068
O2 O 0.2296 0.0000 0.6973
O3 O 0.2422 0.0000 0.2864
```